Structure and calculated X-ray diffraction stick pattern of PmMnTe2O8 (the GGA+U geometry in Alexandria; Cu Kα (weighted mean of Kα1 and Kα2)).

Peak list (10 most intense, 2θ from 5° to 70°, in order of rising 2θ)
17.73°, rel. 9, (1 0 1)
24.15°, rel. 100, (2 0 0)
30.12°, rel. 10, (2 1 1)
31.37°, rel. 78, (1 1 2)
34.41°, rel. 23, (2 2 0)
47.25°, rel. 65, (3 1 2)
49.46°, rel. 16, (4 0 0)
55.77°, rel. 15, (4 2 0)
59.78°, rel. 34, (3 3 2)
65.47°, rel. 11, (2 2 4)

Atomic structure:
a = 7.371 Å, b = 7.371 Å, c = 6.812 Å
α = 90.00°, β = 90.00°, γ = 90.00°
Space group I-4m2 (No. 119)
Asymmetric unit:
1 Pm 0.000 0.000 0.000 (multiplicity 2)
2 Mn 0.000 0.500 0.750 (multiplicity 2)
3 Te 0.000 0.000 0.500 (multiplicity 2)
4 Te 0.000 0.500 0.250 (multiplicity 2)
5 O 0.000 0.191 0.690 (multiplicity 8)
6 O 0.000 0.315 0.062 (multiplicity 8)